Gd3AlNiS7: calculated X-ray powder pattern (Cu Kα, 1.54184 Å), based on a structure optimized by DFT (GGA-PBE).
No peak broadening, texture or thermal motion is included.

Cell and atoms:
abc: 9.6164 9.6164 6.1905
angles: 90.00 90.00 120.00
Space group P6_3 (No. 173)
Unique sites:
Gd1 0.1549 0.3756 0.0000
Al1 0.3333 0.6667 0.4261
Ni1 0.0000 0.0000 0.3271
S1 0.0896 0.5679 0.2735
S2 0.0984 0.2302 0.5906
S3 0.3333 0.6667 0.7876

Principal peaks in the range 5 to 70 degrees two-theta, sorted by position:
- hkl 1 0 1, 17.85 deg, intensity 47
- hkl 2 0 1, 25.79 deg, intensity 100
- hkl 1 2 0, 28.35 deg, intensity 32
- hkl 3 0 1, 35.44 deg, intensity 36
- hkl 2 0 2, 36.16 deg, intensity 40
- hkl 2 2 0, 37.41 deg, intensity 38
- hkl 1 2 2, 40.89 deg, intensity 31
- hkl 2 0 3, 49.27 deg, intensity 35